Entry 1:
Simulated powder X-ray diffraction pattern of Li3Cd2In3 for λ = 1.5418 Å (Cu Kα), from a crystal structure in Alexandria, relaxed with GGA-PBE.
Peak positions follow from Bragg's law for the DFT cell and can differ from measured ones.

Atomic structure:
```
data_Li3Cd2In3
_cell_length_a 4.181
_cell_length_b 4.520
_cell_length_c 17.689
_cell_angle_alpha 90.00
_cell_angle_beta 90.00
_cell_angle_gamma 90.00
_space_group_name_H-M_alt 'I m m m'
_space_group_IT_number 71
_space_group_name_Hall '-I 2 2'
loop_
_atom_site_label
_atom_site_fract_x
_atom_site_fract_y
_atom_site_fract_z
Li1 0.000 0.000 0.000
Li2 0.000 0.500 0.126
Cd1 0.000 0.000 0.251
In1 0.000 0.000 0.500
In2 0.000 0.500 0.375
```

The 8 most intense peaks (2θ = 10–90°), in order of rising 2θ:
2theta  I_rel  (hkl)
10.00  16  0 0 2
21.84  36  1 0 1
24.82  26  0 1 3
32.13  14  0 1 5
35.61  100  1 1 4
39.89  18  0 2 0
40.81  17  0 0 8
43.28  14  2 0 0



Entry 2:
Simulated powder X-ray diffraction pattern of Li3Cd4In4 for λ = 1.5418 Å (Cu Kα), from a crystal structure in Alexandria, relaxed with GGA-PBE.
Peak positions follow from Bragg's law for the DFT cell and can differ from measured ones.

Atomic structure:
```
data_Li3Cd4In4
_cell_length_a 3.340
_cell_length_b 5.048
_cell_length_c 14.790
_cell_angle_alpha 80.25
_cell_angle_beta 85.20
_cell_angle_gamma 89.97
_space_group_name_H-M_alt 'P 1'
_space_group_IT_number 1
loop_
_space_group_symop_operation_xyz
'x,y,z'
loop_
_atom_site_label
_atom_site_fract_x
_atom_site_fract_y
_atom_site_fract_z
Li1 0.000 0.000 0.000
Li2 0.305 0.287 0.421
Li3 0.653 0.649 0.700
Cd1 0.066 0.562 0.876
Cd2 0.230 0.732 0.533
Cd3 0.417 0.914 0.171
Cd4 0.876 0.374 0.249
In1 0.181 0.181 0.634
In2 0.470 0.472 0.057
In3 0.605 0.090 0.820
In4 0.817 0.819 0.360
```

The 8 most intense peaks (2θ = 10–90°), in order of rising 2θ:
2theta  I_rel  (hkl)
19.83  65  0 1 2
28.54  22  1 0 2
30.48  32  1 0 -2
31.30  28  1 0 3
35.57  77  0 2 1
36.83  87  1 1 -2
37.67  86  1 1 4
38.47  100  0 1 6



Entry 3:
Simulated powder X-ray diffraction pattern of Li3Cd2In6 for λ = 1.5418 Å (Cu Kα), from a crystal structure in Alexandria, relaxed with GGA-PBE.
Peak positions follow from Bragg's law for the DFT cell and can differ from measured ones.

Atomic structure:
```
data_Li3Cd2In6
_cell_length_a 5.802
_cell_length_b 7.085
_cell_length_c 7.311
_cell_angle_alpha 107.93
_cell_angle_beta 103.72
_cell_angle_gamma 108.92
_space_group_name_H-M_alt 'P -1'
_space_group_IT_number 2
loop_
_space_group_symop_operation_xyz
'x,y,z'
'-x,-y,-z'
loop_
_atom_site_label
_atom_site_fract_x
_atom_site_fract_y
_atom_site_fract_z
Li1 0.000 0.000 0.000
Li2 0.263 0.114 0.727
Cd1 0.257 0.457 0.069
In1 0.185 0.335 0.437
In2 0.239 0.868 0.319
In3 0.389 0.766 0.824
```

The 8 most intense peaks (2θ = 10–90°), in order of rising 2θ:
2theta  I_rel  (hkl)
26.05  35  1 0 1
26.91  34  1 -2 0
28.40  100  1 1 -2
30.82  30  0 2 -2
31.75  29  2 -1 0
35.27  31  2 0 0
37.34  33  -2 2 1
40.60  48  1 2 0



Entry 4:
Simulated powder X-ray diffraction pattern of Li6CdIn3 for λ = 1.5418 Å (Cu Kα), from a crystal structure in Alexandria, relaxed with GGA-PBE.
Peak positions follow from Bragg's law for the DFT cell and can differ from measured ones.

Atomic structure:
```
data_Li6CdIn3
_cell_length_a 7.966
_cell_length_b 4.843
_cell_length_c 10.551
_cell_angle_alpha 90.00
_cell_angle_beta 109.55
_cell_angle_gamma 90.00
_space_group_name_H-M_alt 'P 1 21/m 1'
_space_group_IT_number 11
loop_
_space_group_symop_operation_xyz
'x,y,z'
'-x,-y,-z'
'-x,y+1/2,-z'
'x,-y+1/2,z'
loop_
_atom_site_label
_atom_site_fract_x
_atom_site_fract_y
_atom_site_fract_z
Li1 0.001 0.250 0.333
Li2 0.005 0.750 0.167
Li3 0.206 0.250 0.134
Li4 0.210 0.750 0.475
Li5 0.401 0.250 0.933
Li6 0.413 0.750 0.273
Cd1 0.389 0.250 0.427
In1 0.181 0.250 0.632
In2 0.191 0.750 0.972
In3 0.403 0.750 0.775
```

The 8 most intense peaks (2θ = 10–90°), in order of rising 2θ:
2theta  I_rel  (hkl)
17.02  29  1 0 1
25.10  100  1 1 1
29.38  40  2 0 -3
37.13  28  0 2 0
38.87  44  1 1 -4
39.16  37  3 1 -2
39.26  29  2 1 2
48.03  20  2 2 -3



Entry 5:
Simulated powder X-ray diffraction pattern of Li3Cd4In for λ = 1.5418 Å (Cu Kα), from a crystal structure in Alexandria, relaxed with GGA-PBE.
Peak positions follow from Bragg's law for the DFT cell and can differ from measured ones.

Atomic structure:
```
data_Li3Cd4In
_cell_length_a 3.348
_cell_length_b 4.899
_cell_length_c 9.892
_cell_angle_alpha 98.43
_cell_angle_beta 99.60
_cell_angle_gamma 90.32
_space_group_name_H-M_alt 'P -1'
_space_group_IT_number 2
loop_
_space_group_symop_operation_xyz
'x,y,z'
'-x,-y,-z'
loop_
_atom_site_label
_atom_site_fract_x
_atom_site_fract_y
_atom_site_fract_z
Li1 0.000 0.000 0.000
Li2 0.124 0.580 0.252
Cd1 0.249 0.252 0.499
Cd2 0.382 0.931 0.764
In1 0.500 0.500 0.000
```

The 8 most intense peaks (2θ = 10–90°), in order of rising 2θ:
2theta  I_rel  (hkl)
24.01  80  0 1 -2
27.03  100  1 0 0
36.52  97  -1 1 2
36.63  95  1 1 1
36.89  88  0 2 -1
37.30  95  0 0 4
38.41  91  1 -1 2
38.61  89  1 1 -3



Entry 6:
Simulated powder X-ray diffraction pattern of Li12Cd2In for λ = 1.5418 Å (Cu Kα), from a crystal structure in Alexandria, relaxed with GGA-PBE.
Peak positions follow from Bragg's law for the DFT cell and can differ from measured ones.

Atomic structure:
```
data_Li12Cd2In
_cell_length_a 5.478
_cell_length_b 5.478
_cell_length_c 19.920
_cell_angle_alpha 90.00
_cell_angle_beta 90.00
_cell_angle_gamma 90.00
_space_group_name_H-M_alt 'P 4/n b m'
_space_group_IT_number 125
loop_
_space_group_symop_operation_xyz
'x,y,z'
'-x,-y,-z'
'-y+1/2,x,z'
'y+1/2,-x,-z'
'-x+1/2,-y+1/2,z'
'x+1/2,y+1/2,-z'
'y,-x+1/2,z'
'-y,x+1/2,-z'
'x,-y+1/2,-z'
'-x,y+1/2,z'
'-y+1/2,-x+1/2,-z'
'y+1/2,x+1/2,z'
'-x+1/2,y,-z'
'x+1/2,-y,z'
'y,x,-z'
'-y,-x,z'
loop_
_atom_site_label
_atom_site_fract_x
_atom_site_fract_y
_atom_site_fract_z
Li1 0.000 0.000 0.109
Li2 0.072 0.572 0.438
Li3 0.250 0.250 0.219
Li4 0.250 0.250 0.343
Cd1 0.250 0.750 0.287
In1 0.250 0.750 0.000
```

The 8 most intense peaks (2θ = 10–90°), in order of rising 2θ:
2theta  I_rel  (hkl)
13.33  99  0 0 3
17.81  46  0 0 4
22.96  100  1 1 0
26.64  85  1 1 3
29.21  65  1 1 4
32.69  42  2 0 0
35.45  48  2 0 3
39.29  61  1 1 7



Entry 7:
Simulated powder X-ray diffraction pattern of Li2Cd2In7 for λ = 1.5418 Å (Cu Kα), from a crystal structure in Alexandria, relaxed with GGA-PBE.
Peak positions follow from Bragg's law for the DFT cell and can differ from measured ones.

Atomic structure:
```
data_Li2Cd2In7
_cell_length_a 9.544
_cell_length_b 10.362
_cell_length_c 5.986
_cell_angle_alpha 90.00
_cell_angle_beta 112.28
_cell_angle_gamma 90.00
_space_group_name_H-M_alt 'C 1 2/m 1'
_space_group_IT_number 12
loop_
_space_group_symop_operation_xyz
'x,y,z'
'-x,-y,-z'
'-x,y,-z'
'x,-y,z'
'x+1/2,y+1/2,z'
'-x+1/2,-y+1/2,-z'
'-x+1/2,y+1/2,-z'
'x+1/2,-y+1/2,z'
loop_
_atom_site_label
_atom_site_fract_x
_atom_site_fract_y
_atom_site_fract_z
Li1 0.170 0.000 0.462
Cd1 0.000 0.355 0.000
In1 0.000 0.500 0.500
In2 0.149 0.000 0.956
In3 0.182 0.253 0.695
```

The 8 most intense peaks (2θ = 10–90°), in order of rising 2θ:
2theta  I_rel  (hkl)
30.93  73  2 0 -2
31.59  82  3 1 0
34.11  78  1 3 1
35.00  100  2 2 1
35.56  88  2 2 -2
36.80  92  0 2 2
40.53  78  2 4 -1
41.68  99  4 2 -1



Entry 8:
Simulated powder X-ray diffraction pattern of Li7Cd2In2 for λ = 1.5418 Å (Cu Kα), from a crystal structure in Alexandria, relaxed with GGA-PBE.
Peak positions follow from Bragg's law for the DFT cell and can differ from measured ones.

Atomic structure:
```
data_Li7Cd2In2
_cell_length_a 9.637
_cell_length_b 9.609
_cell_length_c 4.915
_cell_angle_alpha 90.00
_cell_angle_beta 111.07
_cell_angle_gamma 90.00
_space_group_name_H-M_alt 'C 1 2/m 1'
_space_group_IT_number 12
loop_
_space_group_symop_operation_xyz
'x,y,z'
'-x,-y,-z'
'-x,y,-z'
'x,-y,z'
'x+1/2,y+1/2,z'
'-x+1/2,-y+1/2,-z'
'-x+1/2,y+1/2,-z'
'x+1/2,-y+1/2,z'
loop_
_atom_site_label
_atom_site_fract_x
_atom_site_fract_y
_atom_site_fract_z
Li1 0.000 0.000 0.000
Li2 0.083 0.500 0.794
Li3 0.177 0.228 0.172
Cd1 0.000 0.229 0.500
In1 0.226 0.000 0.609
```

The 8 most intense peaks (2θ = 10–90°), in order of rising 2θ:
2theta  I_rel  (hkl)
19.35  98  0 0 1
20.50  41  1 1 -1
27.16  100  2 2 0
29.00  55  2 2 -1
37.44  26  0 4 0
37.65  75  2 2 1
40.75  19  3 3 -1
42.48  22  0 4 1



Entry 9:
Simulated powder X-ray diffraction pattern of LiCd8In4 for λ = 1.5418 Å (Cu Kα), from a crystal structure in Alexandria, relaxed with GGA-PBE.
Peak positions follow from Bragg's law for the DFT cell and can differ from measured ones.

Atomic structure:
```
data_LiCd8In4
_cell_length_a 9.119
_cell_length_b 5.016
_cell_length_c 14.751
_cell_angle_alpha 90.00
_cell_angle_beta 104.01
_cell_angle_gamma 90.00
_space_group_name_H-M_alt 'C 1 m 1'
_space_group_IT_number 8
loop_
_space_group_symop_operation_xyz
'x,y,z'
'x,-y,z'
'x+1/2,y+1/2,z'
'x+1/2,-y+1/2,z'
loop_
_atom_site_label
_atom_site_fract_x
_atom_site_fract_y
_atom_site_fract_z
Li1 0.000 0.000 0.000
Cd1 0.028 0.500 0.410
Cd2 0.057 0.000 0.790
Cd3 0.130 0.500 0.227
Cd4 0.177 0.500 0.031
Cd5 0.215 0.000 0.460
Cd6 0.238 0.500 0.832
Cd7 0.365 0.500 0.407
Cd8 0.412 0.000 0.861
In1 0.289 0.500 0.610
In2 0.350 0.000 0.063
In3 0.452 0.500 0.218
In4 0.482 0.000 0.642
```

The 8 most intense peaks (2θ = 10–90°), in order of rising 2θ:
2theta  I_rel  (hkl)
20.35  24  1 1 0
28.02  25  2 0 -4
31.25  53  0 0 5
35.81  63  0 2 0
37.19  100  3 1 1
38.94  79  3 1 -4
39.67  37  1 1 5
48.25  30  0 2 5



Entry 10:
Simulated powder X-ray diffraction pattern of LiCd2In5 for λ = 1.5418 Å (Cu Kα), from a crystal structure in Alexandria, relaxed with GGA-PBE.
Peak positions follow from Bragg's law for the DFT cell and can differ from measured ones.

Atomic structure:
```
data_LiCd2In5
_cell_length_a 4.961
_cell_length_b 18.369
_cell_length_c 9.328
_cell_angle_alpha 90.00
_cell_angle_beta 90.00
_cell_angle_gamma 90.00
_space_group_name_H-M_alt 'C m c m'
_space_group_IT_number 63
_space_group_name_Hall '-C 2c 2'
loop_
_atom_site_label
_atom_site_fract_x
_atom_site_fract_y
_atom_site_fract_z
Li1 0.000 0.229 0.250
Cd1 0.000 0.224 0.584
In1 0.000 0.069 0.079
In2 0.000 0.375 0.750
In3 0.000 0.382 0.093
```

The 8 most intense peaks (2θ = 10–90°), in order of rising 2θ:
2theta  I_rel  (hkl)
25.00  29  1 3 1
30.30  29  1 5 0
36.22  37  2 0 0
37.15  100  1 3 3
38.82  36  1 7 0
58.35  16  0 10 3
65.76  18  3 3 3
70.64  18  2 10 3



Entry 11:
Simulated powder X-ray diffraction pattern of Li4Cd3In5 for λ = 1.5418 Å (Cu Kα), from a crystal structure in Alexandria, relaxed with GGA-PBE.
Peak positions follow from Bragg's law for the DFT cell and can differ from measured ones.

Atomic structure:
```
data_Li4Cd3In5
_cell_length_a 6.268
_cell_length_b 7.022
_cell_length_c 7.049
_cell_angle_alpha 71.29
_cell_angle_beta 74.80
_cell_angle_gamma 63.79
_space_group_name_H-M_alt 'P -1'
_space_group_IT_number 2
loop_
_space_group_symop_operation_xyz
'x,y,z'
'-x,-y,-z'
loop_
_atom_site_label
_atom_site_fract_x
_atom_site_fract_y
_atom_site_fract_z
Li1 0.095 0.156 0.323
Li2 0.182 0.314 0.677
Cd1 0.000 0.000 0.000
Cd2 0.416 0.841 0.659
In1 0.244 0.500 0.997
In2 0.307 0.664 0.353
In3 0.500 0.000 0.000
```

The 8 most intense peaks (2θ = 10–90°), in order of rising 2θ:
2theta  I_rel  (hkl)
15.92  47  1 0 0
34.41  100  2 1 2
34.93  90  0 2 2
35.11  88  0 2 -1
35.91  79  2 1 -1
40.52  58  2 -1 0
40.74  59  2 3 1
40.97  57  0 0 3



Entry 12:
Simulated powder X-ray diffraction pattern of LiCd6In8 for λ = 1.5418 Å (Cu Kα), from a crystal structure in Alexandria, relaxed with GGA-PBE.
Peak positions follow from Bragg's law for the DFT cell and can differ from measured ones.

Atomic structure:
```
data_LiCd6In8
_cell_length_a 8.4799
_cell_length_b 8.4799
_cell_length_c 6.4212
_cell_angle_alpha 90.00
_cell_angle_beta 90.00
_cell_angle_gamma 120.00
_space_group_name_H-M_alt 'P -3'
_space_group_IT_number 147
loop_
_space_group_symop_operation_xyz
'x,y,z'
'-x,-y,-z'
'-y,x-y,z'
'y,-x+y,-z'
'-x+y,-x,z'
'x-y,x,-z'
loop_
_atom_site_label
_atom_site_fract_x
_atom_site_fract_y
_atom_site_fract_z
Li1 0.0000 0.0000 0.0000
Cd1 0.0187 0.6717 0.9065
In1 0.0565 0.3615 0.6095
In2 0.3333 0.6667 0.2607
```

The 8 most intense peaks (2θ = 10–90°), in order of rising 2θ:
2theta  I_rel  (hkl)
20.95  24  1 1 0
27.99  21  2 0 1
35.06  100  1 1 2
35.23  23  3 -1 1
36.71  66  3 0 0
51.67  24  4 -2 2
61.80  13  2 -1 4
65.05  17  4 1 2